No. 1
Structure and simulated XRD peak list of YMg6Sb (a cell relaxed with PBE; λ = 1.5418 Å (Cu Kα)).

Top 10 peaks for 2θ from 10° to 90°, in order of rising 2θ:
hkl 0 1 1, 2θ = 15.27°, d 5.801, rel. 77; hkl 1 1 1, 2θ = 23.25°, d 3.825, rel. 24; hkl 1 0 2, 2θ = 23.55°, d 3.778, rel. 29; hkl 0 2 2, 2θ = 30.83°, d 2.900, rel. 27; hkl 1 1 3, 2θ = 32.43°, d 2.760, rel. 33; hkl 2 0 0, 2θ = 35.28°, d 2.544, rel. 35; hkl 1 2 2, 2θ = 35.63°, d 2.520, rel. 100; hkl 1 0 4, 2θ = 36.43°, d 2.466, rel. 50; hkl 0 2 6, 2θ = 55.97°, d 1.643, rel. 18; hkl 2 2 6, 2θ = 67.91°, d 1.380, rel. 19

Lattice parameters (Å, degrees): 5.089 6.764 11.278 90.00 90.00 90.00
Space group Amm2 (No. 38)
Symmetry-distinct sites (fractional):
Y  0.000  0.000  0.000
Mg  0.000  0.000  0.506
Mg  0.000  0.243  0.251
Mg  0.500  0.000  0.339
Mg  0.500  0.237  0.591
Sb  0.500  0.000  0.836



No. 2
Structure and simulated XRD peak list of YMg6Sb (a cell relaxed with PBE; λ = 1.5418 Å (Cu Kα)).

Top 10 peaks for 2θ from 10° to 90°, in order of rising 2θ:
hkl 0 0 2, 2θ = 15.26°, d 5.805, rel. 45; hkl 1 0 0, 2θ = 16.47°, d 5.382, rel. 40; hkl 1 0 2, 2θ = 22.53°, d 3.947, rel. 41; hkl 0 2 2, 2θ = 32.63°, d 2.744, rel. 32; hkl 2 0 0, 2θ = 33.28°, d 2.692, rel. 52; hkl 1 0 4, 2θ = 35.13°, d 2.555, rel. 53; hkl 1 2 2, 2θ = 36.77°, d 2.445, rel. 100; hkl 2 0 4, 2θ = 45.97°, d 1.974, rel. 21; hkl 2 2 2, 2θ = 47.31°, d 1.921, rel. 22; hkl 2 2 6, 2θ = 66.70°, d 1.402, rel. 26

Lattice parameters (Å, degrees): 5.382 6.229 11.610 90.00 90.00 90.00
Space group Amm2 (No. 38)
Symmetry-distinct sites (fractional):
Y  0.000  0.000  0.000
Mg  0.000  0.248  0.247
Mg  0.500  0.000  0.166
Mg  0.500  0.000  0.665
Mg  0.500  0.249  0.408
Sb  0.000  0.000  0.496



No. 3
Structure and simulated XRD peak list of MgSc5 (a cell relaxed with PBE; λ = 1.5418 Å (Cu Kα)).

Top 10 peaks for 2θ from 10° to 90°, in order of rising 2θ:
hkl 0 0 6, 2θ = 31.32°, d 2.856, rel. 25; hkl 2 0 0, 2θ = 34.27°, d 2.616, rel. 25; hkl 1 1 3, 2θ = 35.82°, d 2.507, rel. 100; hkl 2 0 6, 2θ = 47.11°, d 1.929, rel. 14; hkl 0 2 0, 2θ = 55.65°, d 1.652, rel. 6; hkl 0 1 9, 2θ = 55.80°, d 1.647, rel. 11; hkl 3 1 3, 2θ = 62.38°, d 1.489, rel. 17; hkl 2 2 0, 2θ = 67.01°, d 1.397, rel. 6; hkl 2 1 9, 2θ = 67.14°, d 1.394, rel. 12; hkl 1 2 6, 2θ = 68.00°, d 1.379, rel. 8

Lattice parameters (Å, degrees): 5.233 3.303 17.107 90.00 90.00 90.00
Space group Amm2 (No. 38)
Symmetry-distinct sites (fractional):
Mg  0.000  0.000  0.000
Sc  0.000  0.000  0.335
Sc  0.000  0.000  0.670
Sc  0.500  0.000  0.224
Sc  0.500  0.000  0.555
Sc  0.500  0.000  0.890



No. 4
Structure and simulated XRD peak list of Mg2Sc (a cell relaxed with PBE; λ = 1.5418 Å (Cu Kα)).

Top 10 peaks for 2θ from 10° to 90°, in order of rising 2θ:
hkl 0 2 0, 2θ = 10.67°, d 8.295, rel. 16; hkl 1 3 0, 2θ = 31.87°, d 2.808, rel. 23; hkl 0 0 2, 2θ = 34.64°, d 2.589, rel. 38; hkl 1 3 1, 2θ = 36.39°, d 2.469, rel. 100; hkl 0 6 1, 2θ = 36.85°, d 2.439, rel. 46; hkl 1 3 2, 2θ = 47.78°, d 1.904, rel. 14; hkl 1 9 0, 2θ = 57.43°, d 1.605, rel. 16; hkl 1 3 3, 2θ = 63.23°, d 1.471, rel. 18; hkl 1 9 2, 2θ = 68.84°, d 1.364, rel. 18; hkl 2 6 1, 2θ = 69.35°, d 1.355, rel. 13

Lattice parameters (Å, degrees): 3.260 16.590 5.179 90.00 90.00 90.00
Space group Cmcm (No. 63)
Symmetry-distinct sites (fractional):
Mg  0.000  0.111  0.250
Mg  0.000  0.223  0.750
Sc  0.000  0.444  0.250



No. 5
Structure and simulated XRD peak list of MgSc (a cell relaxed with PBE; λ = 1.5418 Å (Cu Kα)).

Top 9 peaks for 2θ from 10° to 90°, in order of rising 2θ:
hkl 1 0 0, 2θ = 24.75°, d 3.597, rel. 10; hkl 1 1 0, 2θ = 35.29°, d 2.543, rel. 100; hkl 1 1 1, 2θ = 43.58°, d 2.077, rel. 2; hkl 2 0 0, 2θ = 50.77°, d 1.798, rel. 16; hkl 2 1 0, 2θ = 57.28°, d 1.609, rel. 3; hkl 2 1 1, 2θ = 63.34°, d 1.468, rel. 32; hkl 2 2 0, 2θ = 74.64°, d 1.272, rel. 9; hkl 3 0 0, 2θ = 80.03°, d 1.199, rel. 1; hkl 3 1 0, 2θ = 85.34°, d 1.137, rel. 13

Lattice parameters (Å, degrees): 3.597 3.597 3.597 90.00 90.00 90.00
Space group Pm-3m (No. 221)
Symmetry-distinct sites (fractional):
Mg  0.000  0.000  0.000
Sc  0.500  0.500  0.500



No. 6
Structure and simulated XRD peak list of MgSc (a cell relaxed with PBE; λ = 1.5418 Å (Cu Kα)).

Top 10 peaks for 2θ from 10° to 90°, in order of rising 2θ:
hkl 1 0 1, 2θ = 23.87°, d 3.728, rel. 12; hkl 0 1 1, 2θ = 31.42°, d 2.847, rel. 9; hkl 0 0 2, 2θ = 33.51°, d 2.674, rel. 21; hkl 2 0 0, 2θ = 34.50°, d 2.599, rel. 32; hkl 1 1 1, 2θ = 35.97°, d 2.497, rel. 100; hkl 1 0 2, 2θ = 37.83°, d 2.378, rel. 19; hkl 2 0 2, 2θ = 48.86°, d 1.864, rel. 13; hkl 0 1 3, 2θ = 58.60°, d 1.575, rel. 9; hkl 3 1 1, 2θ = 62.77°, d 1.480, rel. 17; hkl 2 1 3, 2θ = 69.81°, d 1.347, rel. 10

Lattice parameters (Å, degrees): 5.199 3.363 5.349 90.00 90.00 90.00
Space group Pmma (No. 51)
Symmetry-distinct sites (fractional):
Mg  0.250  0.000  0.195
Sc  0.250  0.500  0.696